No. 1
Diffraction record for NdEr3. The PXRD pattern is simulated, not measured: it uses a crystal structure in the Materials Project, relaxed with GGA-PBE and λ = 1.5418 Å (Cu Kα).

Crystal structure
Unit cell a=7.2314 b=7.2314 c=5.7029 alpha=90.00 beta=90.00 gamma=120.00
Fractional positions:
Nd: 0.3333 0.6667 0.2500
Nd: 0.6667 0.3333 0.7500
Er: 0.1644 0.3287 0.7500
Er: 0.1644 0.8356 0.7500
Er: 0.3287 0.1644 0.2500
Er: 0.6713 0.8356 0.7500
Er: 0.8356 0.1644 0.2500
Er: 0.8356 0.6713 0.2500

Peak list (8 most intense, 2θ = 15–90°, by angle)
2θ 28.51, rel. 24
2θ 31.37, rel. 25
2θ 32.62, rel. 100
2θ 42.90, rel. 16
2θ 50.48, rel. 20
2θ 56.64, rel. 21
2θ 60.65, rel. 23
2θ 61.41, rel. 16

No. 2
Diffraction record for CaSn3. The PXRD pattern is simulated, not measured: it uses a crystal structure in the Materials Project, relaxed with GGA-PBE and λ = 1.5418 Å (Cu Kα).

Crystal structure
Unit cell a=4.7788 b=4.7788 c=4.7788 alpha=90.00 beta=90.00 gamma=90.00
Fractional positions:
Ca: 0.0000 0.0000 0.0000
Sn: 0.0000 0.5000 0.5000
Sn: 0.5000 0.0000 0.5000
Sn: 0.5000 0.5000 0.0000

Peak list (8 most intense, 2θ = 15–90°, by angle)
2θ 18.57, rel. 10
2θ 26.38, rel. 9
2θ 32.45, rel. 100
2θ 37.65, rel. 50
2θ 54.30, rel. 35
2θ 64.69, rel. 42
2θ 67.95, rel. 12
2θ 89.37, rel. 19

No. 3
Diffraction record for CeNb3O9. The PXRD pattern is simulated, not measured: it uses a crystal structure in the Materials Project, relaxed with GGA-PBE and λ = 1.5418 Å (Cu Kα).

Crystal structure
Unit cell a=9.8173 b=9.8173 c=11.3332 alpha=107.05 beta=107.05 gamma=47.46
Fractional positions:
Ce: 0.0000 0.0000 0.0000
Ce: 0.1687 0.1687 0.3381
Ce: 0.5000 0.5000 0.0000
Ce: 0.8313 0.8313 0.6619
Nb: 0.0820 0.5753 0.9160
Nb: 0.0844 0.5843 0.4160
Nb: 0.2504 0.7436 0.2580
Nb: 0.2564 0.7496 0.7420
Nb: 0.4157 0.9156 0.5840
Nb: 0.4247 0.9180 0.0840
Nb: 0.5753 0.0820 0.9160
Nb: 0.5843 0.0844 0.4160
Nb: 0.7436 0.2504 0.2580
Nb: 0.7496 0.2564 0.7420
Nb: 0.9156 0.4157 0.5840
Nb: 0.9180 0.4247 0.0840
O: 0.0000 0.5000 0.0000
O: 0.0000 0.5000 0.5000
O: 0.0087 0.0087 0.2337
O: 0.0123 0.4767 0.2534
O: 0.1445 0.6804 0.5899
O: 0.1532 0.1532 0.0894
O: 0.1639 0.6792 0.8433
O: 0.1657 0.6662 0.3340
O: 0.1731 0.1731 0.5719
O: 0.1778 0.6707 0.0766
O: 0.3196 0.8555 0.4101
O: 0.3208 0.8361 0.1567
O: 0.3235 0.3235 0.4213
O: 0.3293 0.8222 0.9234
O: 0.3338 0.8343 0.6660
O: 0.3431 0.3431 0.9132
O: 0.4767 0.0123 0.2534
O: 0.4943 0.4943 0.7622
O: 0.5000 0.0000 0.0000
O: 0.5000 0.0000 0.5000
O: 0.5057 0.5057 0.2378
O: 0.5233 0.9877 0.7466
O: 0.6569 0.6569 0.0868
O: 0.6662 0.1657 0.3340
O: 0.6707 0.1778 0.0766
O: 0.6765 0.6765 0.5787
O: 0.6792 0.1639 0.8433
O: 0.6804 0.1445 0.5899
O: 0.8222 0.3293 0.9234
O: 0.8269 0.8269 0.4281
O: 0.8343 0.3338 0.6660
O: 0.8361 0.3208 0.1567
O: 0.8468 0.8468 0.9106
O: 0.8555 0.3196 0.4101
O: 0.9877 0.5233 0.7466
O: 0.9913 0.9913 0.7663

Peak list (8 most intense, 2θ = 15–90°, by angle)
2θ 22.23, rel. 19
2θ 31.55, rel. 50
2θ 31.80, rel. 100
2θ 45.10, rel. 20
2θ 45.35, rel. 21
2θ 45.94, rel. 20
2θ 56.34, rel. 20
2θ 56.80, rel. 20